1.
Simulated PXRD pattern
Compound: RbIn7Sn5
Radiation: Cu Kα
Structure: DFT lattice parameters and positions (GGA-PBE)
No peak broadening, texture or thermal motion is included.

Top 12 peaks for 10 to 90 degrees two-theta, in order of rising 2θ:
(0 2 0), d = 5.531 Å, I 10; (2 0 0), d = 3.195 Å, I 21; (1 0 3), d = 3.182 Å, I 12; (0 4 0), d = 2.765 Å, I 100; (0 0 4), d = 2.755 Å, I 49; (2 2 2), d = 2.472 Å, I 81; (0 2 4), d = 2.463 Å, I 29; (3 3 2), d = 1.750 Å, I 15; (2 4 4), d = 1.664 Å, I 12; (2 6 0), d = 1.595 Å, I 16; (2 0 6), d = 1.591 Å, I 16; (4 4 2), d = 1.342 Å, I 10

Structure:
```
data_RbIn7Sn5
_chemical_formula_sum 'Rb2 In14 Sn10'
_cell_length_a 6.399
_cell_length_b 11.051
_cell_length_c 11.005
_cell_angle_alpha 90.00
_cell_angle_beta 90.00
_cell_angle_gamma 90.00
_symmetry_space_group_name_H-M 'I m m 2'
_symmetry_Int_Tables_number 44
loop_
_symmetry_equiv_pos_as_xyz
'x,y,z'
'-x,-y,z'
'-x,y,z'
'x,-y,z'
'x+1/2,y+1/2,z+1/2'
'-x+1/2,-y+1/2,z+1/2'
'-x+1/2,y+1/2,z+1/2'
'x+1/2,-y+1/2,z+1/2'
loop_
_atom_site_label
_atom_site_type_symbol
_atom_site_fract_x
_atom_site_fract_y
_atom_site_fract_z
_atom_site_occupancy
Rb1 Rb 0.000 0.000 0.000 1
In1 In 0.000 0.000 0.359 1
In2 In 0.000 0.000 0.644 1
In3 In 0.000 0.287 0.500 1
In4 In 0.000 0.357 0.997 1
In5 In 0.000 0.500 0.285 1
Sn1 Sn 0.000 0.500 0.715 1
Sn2 Sn 0.249 0.250 0.249 1
```

***

2.
Simulated PXRD pattern
Compound: UNbO6
Radiation: Cu Kα
Structure: DFT lattice parameters and positions (GGA-PBE)
No peak broadening, texture or thermal motion is included.

Top 12 peaks for 10 to 90 degrees two-theta, in order of rising 2θ:
(0 0 3), d = 4.703 Å, I 22; (0 1 2), d = 4.073 Å, I 100; (1 1 0), d = 2.880 Å, I 54; (1 1 3), d = 2.456 Å, I 15; (2 0 2), d = 2.351 Å, I 13; (0 2 4), d = 2.036 Å, I 21; (1 2 2), d = 1.821 Å, I 43; (3 0 0), d = 1.663 Å, I 23; (2 2 0), d = 1.440 Å, I 13; (0 3 6), d = 1.358 Å, I 20; (1 3 4), d = 1.288 Å, I 10; (2 3 2), d = 1.130 Å, I 9

Structure:
```
data_UNbO6
_chemical_formula_sum 'U3 Nb3 O18'
_cell_length_a 5.7592
_cell_length_b 5.7592
_cell_length_c 14.1125
_cell_angle_alpha 90.00
_cell_angle_beta 90.00
_cell_angle_gamma 120.00
_symmetry_space_group_name_H-M 'R -3'
_symmetry_Int_Tables_number 148
_symmetry_space_group_name_Hall '-R 3'
loop_
_atom_site_label
_atom_site_type_symbol
_atom_site_fract_x
_atom_site_fract_y
_atom_site_fract_z
_atom_site_occupancy
U1 U 0.0000 0.0000 0.0000 1
Nb1 Nb 0.0000 0.0000 0.5000 1
O1 O 0.0063 0.5018 0.2485 1
```